The following is a simulated powder diffractogram of LaY5Al3. It was derived from a crystal structure in Alexandria, relaxed with PBE, using Cu Kα (λ = 1.5418 Å).

abc: 9.1867 9.1867 6.7006
angles: 90.00 90.00 120.00
Space group P6_3/mcm (No. 193)
Symmetry-distinct sites (fractional):
La (0.0000, 0.0000, 0.0000) x2
Y (0.0000, 0.3306, 0.2500) x6
Y (0.3333, 0.6667, 0.0000) x4
Al (0.0000, 0.3420, 0.7500) x6

Largest 12 diffraction maxima, low angle first, 10 to 90 degrees two-theta:
| (hkl) | Position (°2θ) | intensity |
| --- | --- | --- |
| 1 1 0 | 19.32 | 15.4 |
| 1 1 1 | 23.48 | 27.1 |
| 1 1 2 | 33.09 | 100.0 |
| 3 0 0 | 33.80 | 86.7 |
| 2 2 2 | 48.03 | 34.3 |
| 0 0 4 | 54.80 | 7.1 |
| 4 1 2 | 60.02 | 34.6 |
| 3 3 0 | 60.46 | 15.5 |
| 3 0 4 | 65.96 | 23.8 |
| 6 0 0 | 71.10 | 9.4 |
| 5 2 2 | 80.69 | 14.4 |
| 3 3 4 | 86.02 | 11.4 |